Li4CoNi3P4O16: calculated X-ray powder pattern (copper Kα), based on a cell relaxed with GGA+U.

Main lines, by intensity (2θ = 5–70°):
2θ/deg	I/Imax
35.89	100
25.62	97
30.11	59
20.69	48
17.40	40
52.63	36

Structure:
Cell lengths 4.7330, 5.9354, 10.1904 Å; angles 90.00, 90.04, 90.00 degrees
Fractional positions:
1 Li 0.0000 0.2492 0.0000
2 Li 0.0000 0.7508 0.0000
3 Li 0.5004 0.2507 0.4989
4 Li 0.5004 0.7493 0.4989
5 Co 0.5170 0.5000 0.7773
6 Ni 0.0152 0.0000 0.7219
7 Ni 0.4843 0.0000 0.2239
8 Ni 0.9830 0.5000 0.2751
9 P 0.0803 0.5000 0.5913
10 P 0.4173 0.5000 0.0952
11 P 0.5804 0.0000 0.9038
12 P 0.9186 0.0000 0.4043
13 O 0.2011 0.5000 0.4494
14 O 0.2201 0.2926 0.6625
15 O 0.2201 0.7074 0.6625
16 O 0.2428 0.0000 0.3991
17 O 0.2561 0.0000 0.8984
18 O 0.2774 0.2924 0.1660
19 O 0.2774 0.7076 0.1660
20 O 0.2972 0.5000 0.9533
21 O 0.6988 0.0000 0.0461
22 O 0.7217 0.2064 0.8321
23 O 0.7217 0.7936 0.8321
24 O 0.7418 0.5000 0.0993
25 O 0.7565 0.5000 0.5959
26 O 0.7775 0.2069 0.3328
27 O 0.7775 0.7931 0.3328
28 O 0.7993 0.0000 0.5463